Starting from DFT lattice parameters and positions (PBE), the X-ray diffraction stick pattern of TiSe2O6 was simulated for Cu Kα, 1.54184 Å.
Neutral-atom scattering factors, no anomalous dispersion.

Cell and atoms:
```
TiSe2O6
1.0
4.8760 0.0000 0.0000
0.0000 8.4466 0.0000
-2.5879 0.0000 6.5139
Ti Se O
2 4 12
Cartesian
0.0000 0.0000 0.0000 Ti
-1.2939 4.2233 3.2569 Ti
-0.0047 1.1838 4.4260 Se
1.2893 3.0395 1.1691 Se
0.9988 5.4072 5.3448 Se
2.2928 7.2628 2.0879 Se
-1.4675 0.4334 4.9242 O
-0.1736 3.7899 1.6672 O
0.8077 1.3676 1.1092 O
-0.4863 2.8557 4.3662 O
0.0773 5.5170 3.8839 O
1.3712 7.1529 0.6270 O
0.9169 1.2937 5.8869 O
2.2108 2.9296 2.6300 O
2.7744 5.5909 2.1477 O
1.4804 7.0791 5.4047 O
2.4617 4.6568 4.8466 O
3.7556 8.0132 1.5897 O
```

Peak list (6 most intense, 15° ≤ 2θ ≤ 90°, low angle first)
22.26°, I 65
25.13°, I 100
27.19°, I 92
28.69°, I 60
28.90°, I 27
29.81°, I 48